Entry 1:
Structure and theoretical PXRD pattern of LiCr4In4O12 (DFT lattice parameters and positions (PBE+U); Cu Ka).
Intensities are scaled so that the largest is 100.

The 8 most intense peaks (2θ = 10–90°), in order of rising 2θ:
d [Å]  intensity
4.065  23
2.791  100
2.782  45
2.772  27
2.737  49
2.609  38
2.032  26
1.915  15

Structure:
```
LiCr4In4O12
1.0
5.216 0.000 0.000
-0.089 5.544 0.000
-0.126 -0.095 8.129
Li Cr In O
1 4 4 12
Cartesian
0.000 0.000 0.000
0.598 1.140 2.879
0.709 1.370 6.634
3.101 4.001 6.889
3.189 3.959 2.872
0.393 4.312 4.883
0.783 3.443 0.924
2.957 0.918 0.841
3.399 1.527 4.855
1.407 0.774 4.669
1.621 5.072 2.180
1.551 5.172 7.495
2.143 2.320 2.292
2.087 2.444 7.614
2.452 3.605 4.878
3.971 4.328 0.806
4.261 0.116 6.336
4.310 -0.009 3.517
4.684 2.932 6.275
4.742 2.795 3.489
5.024 1.500 1.040
```

---

Entry 2:
Structure and theoretical PXRD pattern of LiCr4In4O12 (DFT lattice parameters and positions (PBE+U); Cu Ka).
Intensities are scaled so that the largest is 100.

The 8 most intense peaks (2θ = 10–90°), in order of rising 2θ:
d [Å]  intensity
2.843  64
2.795  44
2.738  100
2.719  50
2.659  44
2.017  25
1.573  24
1.532  24

Structure:
```
LiCr4In4O12
1.0
5.323 0.000 0.000
0.057 5.480 0.000
0.372 0.135 8.068
Li Cr In O
1 4 4 12
Cartesian
0.000 0.000 0.000
1.986 0.685 4.516
2.151 0.504 0.597
4.731 3.456 4.473
4.624 3.162 0.428
1.915 3.078 2.473
2.304 3.737 6.673
4.564 1.101 6.193
4.691 0.373 2.706
0.370 1.782 4.011
0.289 1.497 1.101
0.973 4.551 3.769
1.085 4.156 0.798
1.322 0.266 6.375
2.677 1.087 2.671
3.085 2.400 5.099
3.410 2.283 7.917
3.725 5.124 4.900
4.036 4.998 7.784
4.023 3.735 2.432
5.542 3.056 6.466
```

---

Entry 3:
Structure and theoretical PXRD pattern of LiCr4In4O12 (DFT lattice parameters and positions (PBE+U); Cu Ka).
Intensities are scaled so that the largest is 100.

The 8 most intense peaks (2θ = 10–90°), in order of rising 2θ:
d [Å]  intensity
3.970  22
3.473  22
2.808  28
2.768  96
2.740  100
2.647  24
2.610  35
1.985  29

Structure:
```
LiCr4In4O12
1.0
5.222 0.000 0.000
0.111 5.616 0.000
0.002 0.002 7.939
Li Cr In O
1 4 4 12
Cartesian
0.000 0.000 0.000
2.312 4.132 1.995
2.313 4.133 5.946
4.887 1.335 2.091
4.888 1.336 5.849
2.121 1.672 3.971
2.491 0.942 0.001
4.645 3.486 7.939
5.073 4.462 3.971
0.451 1.654 0.006
0.730 3.021 2.574
0.732 3.023 5.368
1.247 0.198 2.566
1.249 0.199 5.376
1.578 4.457 0.001
3.005 3.769 3.970
3.302 2.430 1.428
3.303 2.431 6.514
3.976 5.231 1.364
3.977 5.231 6.578
4.153 0.932 3.967
```

---

Entry 4:
Structure and theoretical PXRD pattern of MgCr3InO8 (DFT lattice parameters and positions (PBE+U); Cu Ka).
Intensities are scaled so that the largest is 100.

The 8 most intense peaks (2θ = 10–90°), in order of rising 2θ:
d [Å]  intensity
4.802  57
4.312  70
3.900  98
3.407  71
2.891  100
2.574  86
2.558  77
1.950  64

Structure:
```
MgCr3InO8
1.0
4.329 -2.891 0.000
4.329 2.891 0.000
-0.561 0.000 6.236
Mg Cr In O
1 3 1 8
Cartesian
0.000 0.000 0.000
0.989 0.000 4.196
4.049 0.000 3.118
7.108 0.000 2.041
4.329 0.000 0.000
4.053 1.487 1.646
1.610 0.000 5.867
4.044 1.487 4.590
2.119 0.000 2.923
5.978 0.000 3.313
4.053 -1.487 1.646
6.488 0.000 0.369
4.044 -1.487 4.590
```